This entry pairs a crystal structure of Cs3MnH5 with its simulated PXRD pattern. Radiation: copper Kα. Structure: a cell relaxed with GGA-PBE.
Kinematic intensities with the Lorentz-polarization factor, no thermal factor.

Main lines, by angle (5° ≤ 2θ ≤ 70°):
2θ (°)	d (Å)	I_rel
20.5	4.339	16
24.6	3.617	50
25.4	3.510	100
28.2	3.159	29
29.9	2.984	23
31.8	2.811	28
33.6	2.669	12
41.6	2.169	19
44.9	2.021	18
47.9	1.898	13
48.3	1.885	22
49.5	1.841	14

Cell and atoms:
a b c (Å): 8.692 8.692 8.692
angles (deg): 121.90 121.90 86.73
Element x y z (fractional)
Cs1 0.183 0.683 0.867
Cs2 0.250 0.250 0.000
Cs3 0.317 0.183 0.500
Cs4 0.683 0.817 0.500
Cs5 0.750 0.750 0.000
Cs6 0.817 0.317 0.133
Mn1 0.250 0.750 0.500
Mn2 0.750 0.250 0.500
H1 0.000 0.000 0.000
H2 0.047 0.785 0.500
H3 0.215 0.715 0.262
H4 0.285 0.547 0.500
H5 0.453 0.953 0.738
H6 0.500 0.500 0.000
H7 0.547 0.047 0.262
H8 0.715 0.453 0.500
H9 0.785 0.285 0.738
H10 0.953 0.215 0.500